Diffraction record for Al2ReAg. The X-ray diffraction stick pattern is computed, not measured: it uses a cell relaxed with GGA-PBE and a wavelength of 1.5418 Å.
Lines closer than 0.1° are merged.

Atomic structure:
a b c (Å): 3.280 4.110 9.095
angles (deg): 90.00 90.00 90.00
Space group Imm2 (No. 44)
Asymmetric unit:
Al 0.000 0.000 0.000 (multiplicity 2)
Al 0.000 0.500 0.240 (multiplicity 2)
Re 0.000 0.500 0.738 (multiplicity 2)
Ag 0.000 0.000 0.494 (multiplicity 2)

Most intense lines, 10 to 80 degrees two-theta, most intense first:
| 2θ (°) | I/Imax |
| --- | --- |
| 40.4 | 100 |
| 23.8 | 50 |
| 28.9 | 33 |
| 39.6 | 26 |
| 44.1 | 19 |
| 36.8 | 18 |
| 72.4 | 17 |
| 60.8 | 15 |

=====

Diffraction record for Hf6PdAu3. The X-ray diffraction stick pattern is computed, not measured: it uses a cell relaxed with GGA-PBE and a wavelength of 1.5418 Å.
Lines closer than 0.1° are merged.

Atomic structure:
a b c (Å): 5.300 8.756 10.452
angles (deg): 90.00 120.08 90.00
Space group P2_1/c (No. 14)
Asymmetric unit:
Hf 0.017 0.185 0.445 (multiplicity 4)
Hf 0.367 0.140 0.244 (multiplicity 4)
Hf 0.378 0.679 0.453 (multiplicity 4)
Pd 0.000 0.000 0.000 (multiplicity 2)
Au 0.106 0.088 0.753 (multiplicity 4)
Au 0.500 0.000 0.500 (multiplicity 2)

Most intense lines, 10 to 80 degrees two-theta, most intense first:
| 2θ (°) | I/Imax |
| --- | --- |
| 40.6 | 100 |
| 40.5 | 99 |
| 35.7 | 96 |
| 33.2 | 94 |
| 39.9 | 79 |
| 33.1 | 76 |
| 35.9 | 73 |
| 35.1 | 72 |